The following is a computed X-ray diffraction stick pattern of Sc2BeSi3. It was derived from a crystal structure in Alexandria, relaxed with PBE, using CuKα.
Kinematic intensities with the Lorentz-polarization factor, no thermal factor.

Cell and atoms:
```
data_Sc2BeSi3
_chemical_formula_sum 'Sc16 Be8 Si24'
_space_group_name_H-M_alt 'F m m m'
_space_group_IT_number 69
_space_group_name_Hall '-F 2 2'
_cell_length_a 7.347
_cell_length_b 7.689
_cell_length_c 13.350
_cell_angle_alpha 90.00
_cell_angle_beta 90.00
_cell_angle_gamma 90.00
loop_
_atom_site_label
_atom_site_type_symbol
_atom_site_fract_x
_atom_site_fract_y
_atom_site_fract_z
Sc1 Sc 0.245 0.000 0.000
Sc2 Sc 0.250 0.250 0.250
Be1 Be 0.000 0.000 0.333
Si1 Si 0.000 0.000 0.173
Si2 Si 0.000 0.239 0.414
```

Most intense lines, 2θ from 15° to 90°, in order of falling intensity:
d [Å]	I/Imax	(hkl)
2.469	1000	2 2 2
1.925	397	0 2 6
1.329	222	4 2 6
1.518	193	2 0 8
3.334	121	0 0 4
1.837	115	4 0 0
1.192	111	2 4 8
1.149	75	6 2 2
1.191	55	2 6 2
1.111	40	0 6 6

=====

The following is a computed X-ray diffraction stick pattern of Sc3BeSi3. It was derived from a crystal structure in Alexandria, relaxed with PBE, using CuKα.
Kinematic intensities with the Lorentz-polarization factor, no thermal factor.

Cell and atoms:
```
data_Sc3BeSi3
_chemical_formula_sum 'Sc12 Be4 Si12'
_space_group_name_H-M_alt 'C 1 2/m 1'
_space_group_IT_number 12
_space_group_name_Hall '-C 2y'
_cell_length_a 9.817
_cell_length_b 3.907
_cell_length_c 12.854
_cell_angle_alpha 90.00
_cell_angle_beta 109.51
_cell_angle_gamma 90.00
loop_
_atom_site_label
_atom_site_type_symbol
_atom_site_fract_x
_atom_site_fract_y
_atom_site_fract_z
Sc1 Sc 0.023 0.000 0.380
Sc2 Sc 0.104 0.000 0.921
Sc3 Sc 0.241 0.000 0.228
Be1 Be 0.235 0.500 0.391
Si1 Si 0.029 0.500 0.232
Si2 Si 0.114 0.500 0.076
Si3 Si 0.141 0.500 0.547
```

Most intense lines, 2θ from 15° to 90°, in order of falling intensity:
d [Å]	I/Imax	(hkl)
2.482	1000	1 1 -4
2.503	583	3 1 -1
2.069	475	3 1 2
2.529	467	1 1 3
1.953	460	0 2 0
2.451	419	4 0 -2
2.192	262	3 1 -4
2.931	201	1 1 2
1.320	180	7 1 -3
2.019	179	0 0 6

=====

The following is a computed X-ray diffraction stick pattern of Sc3Be2Si3. It was derived from a crystal structure in Alexandria, relaxed with PBE, using CuKα.
Kinematic intensities with the Lorentz-polarization factor, no thermal factor.

Cell and atoms:
```
data_Sc3Be2Si3
_chemical_formula_sum 'Sc12 Be8 Si12'
_space_group_name_H-M_alt 'C m c m'
_space_group_IT_number 63
_space_group_name_Hall '-C 2c 2'
_cell_length_a 3.760
_cell_length_b 9.822
_cell_length_c 13.761
_cell_angle_alpha 90.00
_cell_angle_beta 90.00
_cell_angle_gamma 90.00
loop_
_atom_site_label
_atom_site_type_symbol
_atom_site_fract_x
_atom_site_fract_y
_atom_site_fract_z
Sc1 Sc 0.000 0.079 0.250
Sc2 Sc 0.000 0.368 0.098
Be1 Be 0.000 0.343 0.619
Si1 Si 0.000 0.088 0.056
Si2 Si 0.000 0.204 0.750
```

Most intense lines, 2θ from 15° to 90°, in order of falling intensity:
d [Å]	I/Imax	(hkl)
2.457	1000	0 4 0
2.430	734	1 3 1
2.788	672	1 1 3
2.293	392	0 0 6
1.838	358	1 3 5
1.880	338	2 0 0
2.006	229	1 3 4
2.417	211	0 4 1
3.352	203	0 2 3
3.402	182	1 1 1

=====

The following is a computed X-ray diffraction stick pattern of SrSc2Be. It was derived from a crystal structure in Alexandria, relaxed with PBE, using CuKα.
Kinematic intensities with the Lorentz-polarization factor, no thermal factor.

Cell and atoms:
```
data_SrSc2Be
_chemical_formula_sum 'Sr1 Sc2 Be1'
_space_group_name_H-M_alt 'P 4/m m m'
_space_group_IT_number 123
_space_group_name_Hall '-P 4 2'
_cell_length_a 3.338
_cell_length_b 3.338
_cell_length_c 8.992
_cell_angle_alpha 90.00
_cell_angle_beta 90.00
_cell_angle_gamma 90.00
loop_
_atom_site_label
_atom_site_type_symbol
_atom_site_fract_x
_atom_site_fract_y
_atom_site_fract_z
Sr1 Sr 0.000 0.000 0.000
Sc1 Sc 0.500 0.500 0.336
Be1 Be 0.000 0.000 0.500
```

Most intense lines, 2θ from 15° to 90°, in order of falling intensity:
d [Å]	I/Imax	(hkl)
3.129	1000	1 0 1
2.680	752	1 0 2
2.360	465	1 1 0
2.997	403	0 0 3
1.854	376	1 1 3
1.865	269	1 0 4
1.417	194	2 1 2
1.473	194	2 1 1
1.458	164	2 0 3
1.669	150	2 0 0

=====

The following is a computed X-ray diffraction stick pattern of ScTa2Be. It was derived from a crystal structure in Alexandria, relaxed with PBE, using CuKα.
Kinematic intensities with the Lorentz-polarization factor, no thermal factor.

Cell and atoms:
```
data_ScTa2Be
_chemical_formula_sum 'Sc2 Ta4 Be2'
_space_group_name_H-M_alt 'I m m 2'
_space_group_IT_number 44
_space_group_name_Hall 'I 2 -2'
_cell_length_a 3.794
_cell_length_b 4.253
_cell_length_c 8.415
_cell_angle_alpha 90.00
_cell_angle_beta 90.00
_cell_angle_gamma 90.00
loop_
_atom_site_label
_atom_site_type_symbol
_atom_site_fract_x
_atom_site_fract_y
_atom_site_fract_z
Sc1 Sc 0.000 0.000 0.000
Ta1 Ta 0.000 0.000 0.537
Ta2 Ta 0.000 0.500 0.765
Be1 Be 0.000 0.500 0.258
```

Most intense lines, 2θ from 15° to 90°, in order of falling intensity:
d [Å]	I/Imax	(hkl)
2.349	1000	1 1 2
3.459	497	1 0 1
3.796	410	0 1 1
2.342	246	0 1 3
2.127	192	0 2 0
1.266	175	1 3 2
1.812	167	1 2 1
2.104	167	0 0 4
1.897	140	2 0 0
1.474	118	2 1 3

=====

The following is a computed X-ray diffraction stick pattern of ScTa2Be9. It was derived from a crystal structure in Alexandria, relaxed with PBE, using CuKα.
Kinematic intensities with the Lorentz-polarization factor, no thermal factor.

Cell and atoms:
```
data_ScTa2Be9
_chemical_formula_sum 'Sc2 Ta4 Be18'
_space_group_name_H-M_alt 'P 63/m m c'
_space_group_IT_number 194
_space_group_name_Hall '-P 6c 2c'
_cell_length_a 4.6037
_cell_length_b 4.6037
_cell_length_c 14.3248
_cell_angle_alpha 90.00
_cell_angle_beta 90.00
_cell_angle_gamma 120.00
loop_
_atom_site_label
_atom_site_type_symbol
_atom_site_fract_x
_atom_site_fract_y
_atom_site_fract_z
Sc1 Sc 0.3333 0.6667 0.2500
Ta1 Ta 0.3333 0.6667 0.0356
Be1 Be 0.0000 0.0000 0.0000
Be2 Be 0.0000 0.0000 0.2500
Be3 Be 0.1701 0.3403 0.6250
Be4 Be 0.3333 0.6667 0.7500
```

Most intense lines, 2θ from 15° to 90°, in order of falling intensity:
d [Å]	I/Imax	(hkl)
2.327	1000	1 0 5
2.302	790	1 1 0
3.987	687	1 0 0
2.191	612	1 1 2
3.484	521	1 0 2
1.936	495	1 1 4
3.060	467	1 0 3
1.821	383	1 0 7
1.334	337	2 1 5
3.841	322	1 0 1

=====

The following is a computed X-ray diffraction stick pattern of ScTiBe17. It was derived from a crystal structure in Alexandria, relaxed with PBE, using CuKα.
Kinematic intensities with the Lorentz-polarization factor, no thermal factor.

Cell and atoms:
```
data_ScTiBe17
_chemical_formula_sum 'Sc3 Ti3 Be51'
_space_group_name_H-M_alt 'R 3 m'
_space_group_IT_number 160
_space_group_name_Hall 'R 3 -2"'
_cell_length_a 7.4281
_cell_length_b 7.4281
_cell_length_c 10.8448
_cell_angle_alpha 90.00
_cell_angle_beta 90.00
_cell_angle_gamma 120.00
loop_
_atom_site_label
_atom_site_type_symbol
_atom_site_fract_x
_atom_site_fract_y
_atom_site_fract_z
Sc1 Sc 0.0000 0.0000 0.0000
Ti1 Ti 0.0000 0.0000 0.6729
Be1 Be 0.0000 0.0000 0.2418
Be2 Be 0.0000 0.0000 0.4380
Be3 Be 0.0008 0.5004 0.1812
Be4 Be 0.0017 0.2925 0.3378
Be5 Be 0.0045 0.5022 0.4943
Be6 Be 0.1675 0.3350 0.1722
```

Most intense lines, 2θ from 15° to 90°, in order of falling intensity:
d [Å]	I/Imax	(hkl)
2.590	1000	1 1 3
1.844	751	0 3 3
3.714	748	1 1 0
2.144	452	3 0 0
1.857	430	2 2 0
5.533	391	1 0 1
1.809	341	0 0 6
3.615	249	0 0 3
4.146	243	0 1 2
1.309	228	4 1 3

=====

The following is a computed X-ray diffraction stick pattern of TmScBe17. It was derived from a crystal structure in Alexandria, relaxed with PBE, using CuKα.
Kinematic intensities with the Lorentz-polarization factor, no thermal factor.

Cell and atoms:
```
data_TmScBe17
_chemical_formula_sum 'Tm3 Sc3 Be51'
_space_group_name_H-M_alt 'R 3 m'
_space_group_IT_number 160
_space_group_name_Hall 'R 3 -2"'
_cell_length_a 7.5957
_cell_length_b 7.5957
_cell_length_c 11.0626
_cell_angle_alpha 90.00
_cell_angle_beta 90.00
_cell_angle_gamma 120.00
loop_
_atom_site_label
_atom_site_type_symbol
_atom_site_fract_x
_atom_site_fract_y
_atom_site_fract_z
Tm1 Tm 0.0000 0.0000 0.0000
Sc1 Sc 0.0000 0.0000 0.6771
Be1 Be 0.0000 0.0000 0.2443
Be2 Be 0.0000 0.0000 0.4372
Be3 Be 0.0000 0.5000 0.4977
Be4 Be 0.9996 0.4998 0.8396
Be5 Be 0.0016 0.2853 0.3395
Be6 Be 0.0033 0.5016 0.1806
```

Most intense lines, 2θ from 15° to 90°, in order of falling intensity:
d [Å]	I/Imax	(hkl)
5.654	1000	1 0 1
3.798	749	1 1 0
2.646	738	1 1 3
4.234	514	0 1 2
1.885	383	3 0 3
3.153	306	0 2 1
2.426	299	2 1 1
2.193	262	3 0 0
3.688	235	0 0 3
2.268	231	1 2 2

=====

The following is a computed X-ray diffraction stick pattern of YScBe2. It was derived from a crystal structure in Alexandria, relaxed with PBE, using CuKα.
Kinematic intensities with the Lorentz-polarization factor, no thermal factor.

Cell and atoms:
```
data_YScBe2
_chemical_formula_sum 'Y2 Sc2 Be4'
_space_group_name_H-M_alt 'I m m 2'
_space_group_IT_number 44
_space_group_name_Hall 'I 2 -2'
_cell_length_a 3.287
_cell_length_b 4.448
_cell_length_c 9.738
_cell_angle_alpha 90.00
_cell_angle_beta 90.00
_cell_angle_gamma 90.00
loop_
_atom_site_label
_atom_site_type_symbol
_atom_site_fract_x
_atom_site_fract_y
_atom_site_fract_z
Y1 Y 0.000 0.000 0.000
Sc1 Sc 0.000 0.500 0.217
Be1 Be 0.000 0.000 0.417
Be2 Be 0.000 0.500 0.772
```

Most intense lines, 2θ from 15° to 90°, in order of falling intensity:
d [Å]	I/Imax	(hkl)
2.323	1000	1 1 2
4.046	752	0 1 1
3.114	613	1 0 1
2.622	550	0 1 3
1.810	243	1 2 1
2.224	235	0 2 0
2.434	234	0 0 4
1.643	219	2 0 0
4.869	186	0 0 2
1.675	167	1 0 5

=====

The following is a computed X-ray diffraction stick pattern of Y2ScBe. It was derived from a crystal structure in Alexandria, relaxed with PBE, using CuKα.
Kinematic intensities with the Lorentz-polarization factor, no thermal factor.

Cell and atoms:
```
data_Y2ScBe
_chemical_formula_sum 'Y2 Sc1 Be1'
_space_group_name_H-M_alt 'P 4/m m m'
_space_group_IT_number 123
_space_group_name_Hall '-P 4 2'
_cell_length_a 3.432
_cell_length_b 3.432
_cell_length_c 8.276
_cell_angle_alpha 90.00
_cell_angle_beta 90.00
_cell_angle_gamma 90.00
loop_
_atom_site_label
_atom_site_type_symbol
_atom_site_fract_x
_atom_site_fract_y
_atom_site_fract_z
Y1 Y 0.000 0.000 0.202
Sc1 Sc 0.500 0.500 0.500
Be1 Be 0.500 0.500 0.000
```

Most intense lines, 2θ from 15° to 90°, in order of falling intensity:
d [Å]	I/Imax	(hkl)
2.642	1000	1 0 2
2.427	525	1 1 0
3.432	425	1 0 0
3.170	355	1 0 1
1.439	281	2 1 2
1.822	261	1 1 3
2.759	232	0 0 3
1.491	193	1 0 5
4.138	190	0 0 2
1.716	175	2 0 0

=====

The following is a computed X-ray diffraction stick pattern of ScBe6Zn6. It was derived from a crystal structure in Alexandria, relaxed with PBE, using CuKα.
Kinematic intensities with the Lorentz-polarization factor, no thermal factor.

Cell and atoms:
```
data_ScBe6Zn6
_chemical_formula_sum 'Sc2 Be12 Zn12'
_space_group_name_H-M_alt 'I m m m'
_space_group_IT_number 71
_space_group_name_Hall '-I 2 2'
_cell_length_a 4.679
_cell_length_b 8.093
_cell_length_c 8.156
_cell_angle_alpha 90.00
_cell_angle_beta 90.00
_cell_angle_gamma 90.00
loop_
_atom_site_label
_atom_site_type_symbol
_atom_site_fract_x
_atom_site_fract_y
_atom_site_fract_z
Sc1 Sc 0.000 0.000 0.000
Be1 Be 0.000 0.500 0.272
Be2 Be 0.250 0.250 0.250
Zn1 Zn 0.000 0.000 0.338
Zn2 Zn 0.000 0.304 0.500
Zn3 Zn 0.000 0.346 0.000
```

Most intense lines, 2θ from 15° to 90°, in order of falling intensity:
d [Å]	I/Imax	(hkl)
2.338	1000	2 0 0
2.031	443	2 0 2
2.873	397	0 2 2
4.078	376	0 0 2
2.028	286	1 3 2
1.813	254	2 2 2
1.175	214	2 0 6
1.821	176	0 2 4
1.350	137	3 3 0
2.351	125	1 0 3

=====

The following is a computed X-ray diffraction stick pattern of Be2Se. It was derived from a crystal structure in Alexandria, relaxed with PBE, using CuKα.
Kinematic intensities with the Lorentz-polarization factor, no thermal factor.

Cell and atoms:
```
data_Be2Se
_chemical_formula_sum 'Be4 Se2'
_space_group_name_H-M_alt 'P -1'
_space_group_IT_number 2
_space_group_name_Hall '-P 1'
_cell_length_a 3.533
_cell_length_b 3.533
_cell_length_c 9.595
_cell_angle_alpha 79.73
_cell_angle_beta 89.81
_cell_angle_gamma 60.02
loop_
_atom_site_label
_atom_site_type_symbol
_atom_site_fract_x
_atom_site_fract_y
_atom_site_fract_z
Be1 Be 0.110 0.283 0.318
Be2 Be 0.183 0.133 0.553
Se1 Se 0.254 0.986 0.782
```

Most intense lines, 2θ from 15° to 90°, in order of falling intensity:
d [Å]	I/Imax	(hkl)
4.696	1000	0 0 2
2.992	820	0 1 0
2.811	519	1 0 1
2.986	399	1 0 -1
2.798	246	0 1 2
1.766	210	2 1 0
1.768	166	-1 1 1
2.320	137	0 1 -2
3.131	126	0 0 3
2.308	125	1 1 3